(1)
This entry pairs a crystal structure of TbTmZn4 with its calculated X-ray powder pattern. Radiation: Cu Kα X-rays. Structure: a crystal structure in Alexandria, relaxed with PBE.
Kinematic intensities with the Lorentz-polarization factor, no thermal factor.

Structure:
```
6
Lattice="-2.2406 3.4666 3.8600 2.2406 -3.4666 3.8600 2.2406 3.4666 -3.8600" Properties=species:S:1:pos:R:3 pbc="T T T"
Tb 0.0000 0.0000 0.0000
Tm 0.0000 3.4666 0.0000
Zn 2.2406 1.7358 -1.2861
Zn 2.2406 1.7358 1.2861
Zn 0.0000 1.7309 2.5739
Zn 0.0000 1.7309 5.1462
```

Main lines, low angle first (2θ from 10° to 90°):
2θ/deg	I (rel.)
22.98	21
34.74	100
40.25	19
40.42	37
54.23	18
54.41	9
68.55	15
69.61	9
69.81	9
69.92	8

(2)
This entry pairs a crystal structure of NiTeP2Pt with its calculated X-ray powder pattern. Radiation: Cu Kα X-rays. Structure: a crystal structure in Alexandria, relaxed with PBE.
Kinematic intensities with the Lorentz-polarization factor, no thermal factor.

Structure:
```
5
Lattice="1.8297 1.0564 7.7673 -1.8297 1.0564 7.7673 0.0000 -2.1128 7.7673" Properties=species:S:1:pos:R:3 pbc="T T T"
Ni 0.0000 0.0000 0.0000
Te 0.0000 0.0000 17.2836
P 0.0000 0.0000 4.7839
P 0.0000 0.0000 6.9713
Pt 0.0000 0.0000 11.5709
```

Main lines, low angle first (2θ from 10° to 90°):
2θ/deg	I (rel.)
11.39	43
28.42	18
32.15	100
34.22	17
39.25	13
42.14	33
49.84	35
60.55	16
70.75	13
82.15	13

(3)
This entry pairs a crystal structure of SnH2F with its calculated X-ray powder pattern. Radiation: Cu Kα X-rays. Structure: a crystal structure in Alexandria, relaxed with PBE.
Kinematic intensities with the Lorentz-polarization factor, no thermal factor.

Structure:
```
8
Lattice="-1.9634 1.9634 6.2630 1.9634 -1.9634 6.2630 1.9634 1.9634 -6.2630" Properties=species:S:1:pos:R:3 pbc="T T T"
Sn 0.0000 0.0000 0.0000
Sn 0.0000 1.9634 3.1315
H 0.4773 0.9817 1.5658
H -0.9817 1.4861 4.6973
H -0.4773 2.9451 1.5658
H 0.9817 2.4407 4.6973
F 1.9634 0.0000 3.1315
F 0.0000 0.0000 6.2630
```

Main lines, low angle first (2θ from 10° to 90°):
2θ/deg	I (rel.)
23.75	72
28.50	42
31.27	34
35.36	100
42.82	15
46.24	23
52.63	18
55.03	28
55.22	28
78.53	20

(4)
This entry pairs a crystal structure of LuMn6Sn4Ge2 with its calculated X-ray powder pattern. Radiation: Cu Kα X-rays. Structure: a crystal structure in Alexandria, relaxed with PBE.
Kinematic intensities with the Lorentz-polarization factor, no thermal factor.

Structure:
```
13
Lattice="5.3270 0.0000 0.0000 -2.6635 4.6133 0.0000 0.0000 0.0000 8.6627" Properties=species:S:1:pos:R:3 pbc="T T T"
Lu 0.0000 0.0000 0.0000
Mn -1.3317 2.3067 2.0112
Mn -1.3317 2.3067 6.6515
Mn 2.6635 0.0000 2.0112
Mn 2.6635 0.0000 6.6515
Mn 1.3317 2.3067 2.0112
Mn 1.3317 2.3067 6.6515
Sn 0.0000 0.0000 2.8810
Sn 0.0000 0.0000 5.7817
Sn 0.0000 3.0755 4.3313
Sn 2.6635 1.5378 4.3313
Ge 0.0000 3.0755 0.0000
Ge 2.6635 1.5378 0.0000
```

Main lines, low angle first (2θ from 10° to 90°):
2θ/deg	I (rel.)
33.65	100
36.72	81
39.05	42
39.73	80
41.71	21
44.50	42
46.36	32
62.19	36
70.74	31
74.80	34